This entry pairs a crystal structure of NaFe2O with its theoretical powder X-ray diffraction pattern. Radiation: Cu Kα (weighted mean of Kα1 and Kα2). Structure: a crystal structure in Alexandria, relaxed with PBE+U.
Lines closer than 0.1° are merged.

Structural model:
a b c (Å): 6.071 6.071 9.293
angles (deg): 90.00 90.00 90.00
Space group I4_1/amd (No. 141, origin choice 2)
Symmetry-distinct sites (fractional):
Na 0.000 0.250 0.375 [4 per cell]
Fe 0.000 0.000 0.000 [8 per cell]
O 0.000 0.250 0.875 [4 per cell]

Peak list (10 most intense, 2θ = 10–80°, in order of rising 2θ)
| hkl | d [Å] | two_theta | I/Imax |
| --- | --- | --- | --- |
| 1 0 1 | 5.082 | 17.4 | 100 |
| 1 1 2 | 3.153 | 28.3 | 18 |
| 1 0 3 | 2.759 | 32.5 | 29 |
| 2 1 1 | 2.606 | 34.4 | 49 |
| 2 0 2 | 2.541 | 35.3 | 76 |
| 2 1 3 | 2.042 | 44.4 | 15 |
| 1 0 5 | 1.776 | 51.5 | 13 |
| 2 2 4 | 1.576 | 58.6 | 28 |
| 4 0 0 | 1.518 | 61.1 | 12 |
| 4 2 2 | 1.303 | 72.6 | 16 |


This entry pairs a crystal structure of Na6FeO4 with its theoretical powder X-ray diffraction pattern. Radiation: Cu Kα (weighted mean of Kα1 and Kα2). Structure: a crystal structure in Alexandria, relaxed with PBE+U.
Lines closer than 0.1° are merged.

Structural model:
a b c (Å): 7.581 7.581 5.427
angles (deg): 90.00 90.00 90.00
Space group P4_2/nmc (No. 137, origin choice 2)
Symmetry-distinct sites (fractional):
Na 0.039 0.539 0.250 [8 per cell]
Na 0.250 0.250 0.154 [4 per cell]
Fe 0.250 0.750 0.750 [2 per cell]
O 0.001 0.750 0.577 [8 per cell]

Peak list (10 most intense, 2θ = 10–80°, in order of rising 2θ)
| hkl | d [Å] | two_theta | I/Imax |
| --- | --- | --- | --- |
| 1 0 1 | 4.413 | 20.1 | 84 |
| 2 0 1 | 3.107 | 28.7 | 47 |
| 2 1 1 | 2.875 | 31.1 | 83 |
| 0 0 2 | 2.713 | 33.0 | 39 |
| 2 2 0 | 2.680 | 33.4 | 56 |
| 3 0 1 | 2.291 | 39.3 | 100 |
| 2 1 2 | 2.118 | 42.7 | 41 |
| 2 2 2 | 1.907 | 47.7 | 100 |
| 4 0 0 | 1.895 | 48.0 | 69 |
| 2 1 3 | 1.596 | 57.8 | 35 |


This entry pairs a crystal structure of NaFePO4 with its theoretical powder X-ray diffraction pattern. Radiation: Cu Kα (weighted mean of Kα1 and Kα2). Structure: a crystal structure in Alexandria, relaxed with PBE+U.
Lines closer than 0.1° are merged.

Structural model:
a b c (Å): 9.118 6.920 5.113
angles (deg): 90.00 90.00 90.00
Space group Pnma (No. 62)
Symmetry-distinct sites (fractional):
Na 0.151 0.250 0.029 [4 per cell]
Fe 0.000 0.000 0.500 [4 per cell]
P 0.175 0.750 0.035 [4 per cell]
O 0.116 0.750 0.749 [4 per cell]
O 0.120 0.568 0.180 [8 per cell]
O 0.153 0.250 0.545 [4 per cell]

Peak list (10 most intense, 2θ = 10–80°, in order of rising 2θ)
| hkl | d [Å] | two_theta | I/Imax |
| --- | --- | --- | --- |
| 1 0 1 | 4.460 | 19.9 | 32 |
| 1 1 1 | 3.749 | 23.7 | 33 |
| 2 2 0 | 2.756 | 32.5 | 84 |
| 1 2 1 | 2.734 | 32.8 | 100 |
| 3 0 1 | 2.613 | 34.3 | 98 |
| 0 0 2 | 2.557 | 35.1 | 31 |
| 4 2 0 | 1.904 | 47.8 | 29 |
| 2 2 2 | 1.874 | 48.6 | 48 |
| 0 4 0 | 1.730 | 52.9 | 24 |
| 4 2 2 | 1.527 | 60.7 | 26 |


This entry pairs a crystal structure of NaFePO4 with its theoretical powder X-ray diffraction pattern. Radiation: Cu Kα (weighted mean of Kα1 and Kα2). Structure: a crystal structure in Alexandria, relaxed with PBE+U.
Lines closer than 0.1° are merged.

Structural model:
a b c (Å): 10.337 6.340 5.197
angles (deg): 90.00 90.00 90.00
Space group Pnma (No. 62)
Symmetry-distinct sites (fractional):
Na 0.000 0.000 0.000 [4 per cell]
Fe 0.163 0.250 0.492 [4 per cell]
P 0.184 0.750 0.483 [4 per cell]
O 0.117 0.550 0.373 [8 per cell]
O 0.170 0.250 0.896 [4 per cell]
O 0.170 0.750 0.781 [4 per cell]

Peak list (10 most intense, 2θ = 10–80°, in order of rising 2θ)
| hkl | d [Å] | two_theta | I/Imax |
| --- | --- | --- | --- |
| 2 0 0 | 5.168 | 17.2 | 31 |
| 1 0 1 | 4.643 | 19.1 | 25 |
| 0 2 0 | 3.170 | 28.1 | 29 |
| 3 0 1 | 2.872 | 31.1 | 100 |
| 2 2 0 | 2.702 | 33.2 | 60 |
| 1 2 1 | 2.618 | 34.3 | 28 |
| 0 0 2 | 2.599 | 34.5 | 32 |
| 2 2 2 | 1.873 | 48.6 | 19 |
| 5 2 1 | 1.643 | 56.0 | 19 |
| 0 4 0 | 1.586 | 58.2 | 22 |